(1)
The following is a calculated powder XRD pattern of Ba2Mn3O8. It was derived from a cell relaxed with PBE+U, using Cu Kα (weighted mean of Kα1 and Kα2).

The 10 most intense peaks (10 to 80 degrees two-theta), in order of rising 2θ:
14.2 deg, rel. 25; 24.0 deg, rel. 16; 31.6 deg, rel. 100; 32.6 deg, rel. 38; 39.4 deg, rel. 17; 43.7 deg, rel. 18; 46.8 deg, rel. 31; 55.6 deg, rel. 17; 57.6 deg, rel. 35; 66.0 deg, rel. 19

Cell and atoms:
Cell: 3.8799 3.8799 12.4365 Å, 90.00 90.00 90.00°
Fractional positions:
1 Ba 0.0000 0.0000 0.1692
2 Ba 0.0000 0.0000 0.8308
3 Mn 0.5000 0.5000 0.0000
4 Mn 0.5000 0.5000 0.3315
5 Mn 0.5000 0.5000 0.6685
6 O 0.0000 0.5000 0.0000
7 O 0.0000 0.5000 0.3488
8 O 0.0000 0.5000 0.6512
9 O 0.5000 0.0000 0.0000
10 O 0.5000 0.0000 0.3488
11 O 0.5000 0.0000 0.6512
12 O 0.5000 0.5000 0.1806
13 O 0.5000 0.5000 0.8194



(2)
The following is a calculated powder XRD pattern of BaMn2O5. It was derived from a cell relaxed with PBE+U, using Cu Kα (weighted mean of Kα1 and Kα2).

The 10 most intense peaks (10 to 80 degrees two-theta), in order of rising 2θ:
27.4 deg, rel. 87; 30.7 deg, rel. 100; 32.6 deg, rel. 98; 37.5 deg, rel. 27; 43.7 deg, rel. 38; 44.4 deg, rel. 33; 47.2 deg, rel. 29; 49.3 deg, rel. 32; 52.3 deg, rel. 28; 57.4 deg, rel. 33

Cell and atoms:
Cell: 3.8501 12.2402 4.1471 Å, 90.00 90.00 90.00°
Fractional positions:
1 Ba 0.0000 0.0000 0.0000
2 Ba 0.0000 0.5000 0.5000
3 Mn 0.5000 0.1643 0.4995
4 Mn 0.5000 0.3357 0.9995
5 Mn 0.5000 0.6643 0.9995
6 Mn 0.5000 0.8357 0.4995
7 O 0.0000 0.1453 0.4986
8 O 0.0000 0.3547 0.9986
9 O 0.0000 0.6453 0.9986
10 O 0.0000 0.8547 0.4986
11 O 0.5000 0.0000 0.5000
12 O 0.5000 0.1790 0.9975
13 O 0.5000 0.3210 0.4975
14 O 0.5000 0.5000 0.0000
15 O 0.5000 0.6790 0.4975
16 O 0.5000 0.8210 0.9975



(3)
The following is a calculated powder XRD pattern of BaMn4O8. It was derived from a cell relaxed with PBE+U, using Cu Kα (weighted mean of Kα1 and Kα2).

The 10 most intense peaks (10 to 80 degrees two-theta), in order of rising 2θ:
28.4 deg, rel. 34; 28.7 deg, rel. 52; 29.0 deg, rel. 51; 29.3 deg, rel. 33; 29.7 deg, rel. 40; 35.0 deg, rel. 100; 39.4 deg, rel. 37; 39.9 deg, rel. 35; 48.4 deg, rel. 29; 58.4 deg, rel. 43

Cell and atoms:
Cell: 7.0554 7.0554 9.6697 Å, 132.51 132.51 25.90°
Fractional positions:
1 Ba 0.0000 0.0000 0.0000
2 Mn 0.1490 0.1490 0.4830
3 Mn 0.3375 0.3375 0.1840
4 Mn 0.6625 0.6625 0.8160
5 Mn 0.8510 0.8510 0.5170
6 O 0.0422 0.0422 0.7219
7 O 0.3020 0.3020 0.9486
8 O 0.3426 0.3426 0.3848
9 O 0.3462 0.3462 0.6554
10 O 0.6538 0.6538 0.3446
11 O 0.6574 0.6574 0.6152
12 O 0.6980 0.6980 0.0514
13 O 0.9578 0.9578 0.2781



(4)
The following is a calculated powder XRD pattern of Ba5Mn5O14. It was derived from a cell relaxed with PBE+U, using Cu Kα (weighted mean of Kα1 and Kα2).

The 10 most intense peaks (10 to 80 degrees two-theta), in order of rising 2θ:
25.7 deg, rel. 90; 28.6 deg, rel. 21; 30.8 deg, rel. 53; 31.0 deg, rel. 100; 31.7 deg, rel. 36; 34.9 deg, rel. 21; 40.6 deg, rel. 43; 40.8 deg, rel. 20; 54.9 deg, rel. 19; 64.6 deg, rel. 19

Cell and atoms:
Cell: 23.9309 5.7728 5.7728 Å, 119.69 90.00 90.00°
Fractional positions:
1 Ba 0.0460 0.1661 0.8339
2 Ba 0.1391 0.8285 0.1600
3 Ba 0.2500 0.5000 0.5018
4 Ba 0.3609 0.8285 0.1600
5 Ba 0.4540 0.1661 0.8339
6 Ba 0.5460 0.8339 0.1661
7 Ba 0.6391 0.1600 0.8285
8 Ba 0.7500 0.5018 0.5000
9 Ba 0.8609 0.1600 0.8285
10 Ba 0.9540 0.8339 0.1661
11 Mn 0.0000 0.5076 0.5076
12 Mn 0.1074 0.4992 0.5013
13 Mn 0.1919 0.1694 0.8427
14 Mn 0.3081 0.1694 0.8427
15 Mn 0.3926 0.4992 0.5013
16 Mn 0.5000 0.5076 0.5076
17 Mn 0.6074 0.5013 0.4992
18 Mn 0.6919 0.8427 0.1694
19 Mn 0.8081 0.8427 0.1694
20 Mn 0.8926 0.5013 0.4992
21 O 0.0514 0.2094 0.3604
22 O 0.0513 0.6524 0.8064
23 O 0.0523 0.6515 0.3583
24 O 0.1485 0.3386 0.1799
25 O 0.1523 0.3204 0.6507
26 O 0.1524 0.8272 0.6512
27 O 0.2500 0.0017 0.9431
28 O 0.2500 0.4363 0.9420
29 O 0.3477 0.3204 0.6507
30 O 0.3476 0.8272 0.6512
31 O 0.3515 0.3386 0.1799
32 O 0.4477 0.6515 0.3583
33 O 0.4486 0.2094 0.3604
34 O 0.4487 0.6524 0.8064
35 O 0.5514 0.3604 0.2094
36 O 0.5513 0.8064 0.6524
37 O 0.5523 0.3583 0.6515
38 O 0.6485 0.1799 0.3386
39 O 0.6523 0.6507 0.3204
40 O 0.6524 0.6512 0.8272
41 O 0.7500 0.9420 0.4363
42 O 0.7500 0.9431 0.0017
43 O 0.8477 0.6507 0.3204
44 O 0.8476 0.6512 0.8272
45 O 0.8515 0.1799 0.3386
46 O 0.9477 0.3583 0.6515
47 O 0.9486 0.3604 0.2094
48 O 0.9487 0.8064 0.6524



(5)
The following is a calculated powder XRD pattern of BaMn5O11. It was derived from a cell relaxed with PBE+U, using Cu Kα (weighted mean of Kα1 and Kα2).

The 10 most intense peaks (10 to 80 degrees two-theta), in order of rising 2θ:
18.5 deg, rel. 65; 23.1 deg, rel. 68; 25.9 deg, rel. 65; 27.2 deg, rel. 77; 27.9 deg, rel. 67; 31.4 deg, rel. 100; 35.7 deg, rel. 83; 36.4 deg, rel. 64; 39.8 deg, rel. 96; 49.0 deg, rel. 63

Cell and atoms:
Cell: 7.0475 7.0475 9.5965 Å, 92.33 92.33 24.96°
Fractional positions:
1 Ba 0.0000 0.0000 0.0000
2 Mn 0.0919 0.0919 0.3703
3 Mn 0.2505 0.2505 0.8814
4 Mn 0.4087 0.4087 0.4002
5 Mn 0.7475 0.7475 0.6153
6 Mn 0.7540 0.7540 0.1522
7 O 0.1736 0.1736 0.2192
8 O 0.1813 0.1813 0.7031
9 O 0.3183 0.3183 0.5414
10 O 0.3282 0.3282 0.0545
11 O 0.4991 0.4991 0.7941
12 O 0.5185 0.5185 0.2790
13 O 0.6518 0.6518 0.4610
14 O 0.6780 0.6780 0.9723
15 O 0.8195 0.8195 0.8003
16 O 0.8486 0.8486 0.3050
17 O 0.9800 0.9800 0.4811



(6)
The following is a calculated powder XRD pattern of Ba2MnO3. It was derived from a cell relaxed with PBE+U, using Cu Kα (weighted mean of Kα1 and Kα2).

The 10 most intense peaks (10 to 80 degrees two-theta), in order of rising 2θ:
25.9 deg, rel. 27; 26.1 deg, rel. 43; 27.9 deg, rel. 32; 28.1 deg, rel. 48; 28.5 deg, rel. 43; 30.0 deg, rel. 100; 30.4 deg, rel. 46; 31.2 deg, rel. 52; 31.4 deg, rel. 33; 38.4 deg, rel. 37

Cell and atoms:
Cell: 6.5535 6.5535 12.8177 Å, 91.48 91.48 125.92°
Fractional positions:
1 Ba 0.1020 0.8980 0.5000
2 Ba 0.2025 0.7878 0.9234
3 Ba 0.3245 0.7303 0.2253
4 Ba 0.4178 0.6318 0.6497
5 Ba 0.6318 0.4178 0.1497
6 Ba 0.7303 0.3245 0.7253
7 Ba 0.7878 0.2025 0.4234
8 Ba 0.8980 0.1020 0.0000
9 Mn 0.0362 0.0402 0.2394
10 Mn 0.0402 0.0362 0.7394
11 Mn 0.4794 0.4906 0.4115
12 Mn 0.4906 0.4794 0.9115
13 O 0.0859 0.8838 0.1121
14 O 0.1651 0.3663 0.8247
15 O 0.2490 0.9083 0.7068
16 O 0.2695 0.6180 0.4427
17 O 0.3663 0.1651 0.3247
18 O 0.4379 0.6307 0.0392
19 O 0.6180 0.2695 0.9427
20 O 0.6307 0.4379 0.5392
21 O 0.7565 0.7720 0.3272
22 O 0.7720 0.7565 0.8272
23 O 0.8838 0.0859 0.6121
24 O 0.9083 0.2490 0.2068



(7)
The following is a calculated powder XRD pattern of BaMn6O12. It was derived from a cell relaxed with PBE+U, using Cu Kα (weighted mean of Kα1 and Kα2).

The 10 most intense peaks (10 to 80 degrees two-theta), in order of rising 2θ:
23.6 deg, rel. 71; 27.7 deg, rel. 52; 27.9 deg, rel. 100; 28.5 deg, rel. 93; 28.7 deg, rel. 53; 36.2 deg, rel. 50; 36.3 deg, rel. 42; 40.3 deg, rel. 37; 41.0 deg, rel. 42; 58.1 deg, rel. 38

Cell and atoms:
Cell: 8.3350 8.3350 9.8333 Å, 125.60 125.60 64.77°
Fractional positions:
1 Ba 0.2178 0.7822 0.0000
2 Ba 0.7822 0.2178 0.0000
3 Mn 0.0179 0.6856 0.5179
4 Mn 0.1646 0.1646 0.8185
5 Mn 0.1700 0.5016 0.1818
6 Mn 0.3144 0.9821 0.4821
7 Mn 0.3524 0.3524 0.5192
8 Mn 0.4984 0.8300 0.8182
9 Mn 0.5016 0.1700 0.1818
10 Mn 0.6476 0.6476 0.4808
11 Mn 0.6856 0.0179 0.5179
12 Mn 0.8300 0.4984 0.8182
13 Mn 0.8354 0.8354 0.1815
14 Mn 0.9821 0.3144 0.4821
15 O 0.1251 0.7898 0.2802
16 O 0.1273 0.4630 0.9457
17 O 0.1535 0.1535 0.3513
18 O 0.1575 0.1575 0.6158
19 O 0.1725 0.5060 0.3809
20 O 0.1769 0.5129 0.6442
21 O 0.2005 0.2005 0.0506
22 O 0.2102 0.8749 0.7198
23 O 0.4561 0.4561 0.2821
24 O 0.4630 0.1273 0.9457
25 O 0.4871 0.8231 0.3558
26 O 0.4940 0.8275 0.6191
27 O 0.5060 0.1725 0.3809
28 O 0.5129 0.1769 0.6442
29 O 0.5370 0.8727 0.0543
30 O 0.5439 0.5439 0.7179
31 O 0.7898 0.1251 0.2802
32 O 0.7995 0.7995 0.9494
33 O 0.8231 0.4871 0.3558
34 O 0.8275 0.4940 0.6191
35 O 0.8425 0.8425 0.3842
36 O 0.8465 0.8465 0.6487
37 O 0.8727 0.5370 0.0543
38 O 0.8749 0.2102 0.7198



(8)
The following is a calculated powder XRD pattern of BaMn2O8. It was derived from a cell relaxed with PBE+U, using Cu Kα (weighted mean of Kα1 and Kα2).

The 10 most intense peaks (10 to 80 degrees two-theta), in order of rising 2θ:
17.8 deg, rel. 70; 22.3 deg, rel. 93; 23.8 deg, rel. 51; 24.0 deg, rel. 100; 24.7 deg, rel. 32; 29.4 deg, rel. 40; 32.9 deg, rel. 32; 33.9 deg, rel. 36; 42.0 deg, rel. 92; 53.6 deg, rel. 36

Cell and atoms:
Cell: 10.8838 8.4558 7.9149 Å, 83.27 50.49 46.24°
Fractional positions:
1 Ba 0.1250 0.1250 0.1250
2 Ba 0.8750 0.8750 0.8750
3 Mn 0.1279 0.6221 0.1279
4 Mn 0.3779 0.8721 0.3779
5 Mn 0.6221 0.1279 0.6221
6 Mn 0.8721 0.3779 0.8721
7 O 0.0318 0.1916 0.5477
8 O 0.0589 0.4203 0.6928
9 O 0.1916 0.0318 0.7289
10 O 0.2711 0.4523 0.8084
11 O 0.3072 0.6721 0.9411
12 O 0.3279 0.6928 0.4203
13 O 0.4203 0.0589 0.3279
14 O 0.4523 0.2711 0.9682
15 O 0.5477 0.7289 0.0318
16 O 0.5797 0.9411 0.6721
17 O 0.6721 0.3072 0.5797
18 O 0.6928 0.3279 0.0589
19 O 0.7289 0.5477 0.1916
20 O 0.8084 0.9682 0.2711
21 O 0.9411 0.5797 0.3072
22 O 0.9682 0.8084 0.4523



(9)
The following is a calculated powder XRD pattern of Ba8Mn8O23. It was derived from a cell relaxed with PBE+U, using Cu Kα (weighted mean of Kα1 and Kα2).

The 10 most intense peaks (10 to 80 degrees two-theta), in order of rising 2θ:
25.5 deg, rel. 100; 29.1 deg, rel. 18; 30.8 deg, rel. 81; 31.0 deg, rel. 38; 33.0 deg, rel. 14; 37.1 deg, rel. 22; 40.4 deg, rel. 23; 40.6 deg, rel. 44; 55.1 deg, rel. 15; 64.3 deg, rel. 15

Cell and atoms:
Cell: 19.4151 5.7983 5.7983 Å, 59.63 90.00 90.00°
Fractional positions:
1 Ba 0.0000 0.0000 0.0000
2 Ba 0.1235 0.6667 0.6667
3 Ba 0.2455 0.0016 0.0016
4 Ba 0.3626 0.6653 0.6653
5 Ba 0.5000 0.3378 0.3378
6 Ba 0.6374 0.6653 0.6653
7 Ba 0.7545 0.0016 0.0016
8 Ba 0.8765 0.6667 0.6667
9 Mn 0.0642 0.3336 0.3336
10 Mn 0.1933 0.3367 0.3367
11 Mn 0.3246 0.3364 0.3364
12 Mn 0.4281 0.0082 0.0082
13 Mn 0.5719 0.0082 0.0082
14 Mn 0.6754 0.3364 0.3364
15 Mn 0.8067 0.3367 0.3367
16 Mn 0.9358 0.3336 0.3336
17 O 0.0000 0.0348 0.4835
18 O 0.0000 0.4821 0.4821
19 O 0.0000 0.4835 0.0348
20 O 0.1271 0.1840 0.6328
21 O 0.1271 0.6328 0.1840
22 O 0.1282 0.1865 0.1865
23 O 0.2541 0.4870 0.4870
24 O 0.2557 0.0419 0.4862
25 O 0.2557 0.4862 0.0419
26 O 0.3746 0.1762 0.1762
27 O 0.3793 0.1594 0.6649
28 O 0.3793 0.6649 0.1594
29 O 0.5000 0.2759 0.8402
30 O 0.5000 0.8402 0.2759
31 O 0.6207 0.1594 0.6649
32 O 0.6207 0.6649 0.1594
33 O 0.6254 0.1762 0.1762
34 O 0.7443 0.0419 0.4862
35 O 0.7443 0.4862 0.0419
36 O 0.7459 0.4870 0.4870
37 O 0.8718 0.1865 0.1865
38 O 0.8729 0.1840 0.6328
39 O 0.8729 0.6328 0.1840